Simulated XRD peak list of LiBO2 for a wavelength of 1.5418 Å, from a DFT-relaxed cell (GGA-PBE, Alexandria).

Largest 8 diffraction maxima, low angle first, 2θ from 5° to 70°:
2θ (°)  intensity  h k l
24.71  97.3  1 1 0
25.13  100.0  0 1 1
36.15  72.9  1 2 0
39.80  52.3  2 0 0
40.88  81.5  0 0 2
41.71  76.6  1 2 1
44.99  27.4  2 0 1
50.49  22.6  0 3 1

Cell and atoms:
```
LiBO2
1.0
4.5295 0.0000 0.0000
0.0000 5.9433 0.0000
0.0000 0.0000 4.4154
Li B O
4 4 8
direct
0.0670 0.1226 0.0000
0.4330 0.6226 0.5000
0.5670 0.3774 0.0000
0.9330 0.8774 0.5000
0.0574 0.6247 0.0160
0.4426 0.1247 0.5160
0.5574 0.8753 0.0160
0.9426 0.3753 0.5160
0.0331 0.5799 0.3489
0.1246 0.1728 0.4385
0.3754 0.6728 0.9385
0.4669 0.0799 0.8489
0.5331 0.9201 0.3489
0.6246 0.3272 0.4385
0.8754 0.8272 0.9385
0.9669 0.4201 0.8489
```